No. 1
Computed X-ray powder pattern of Li4CrO5 for λ = 1.5418 Å (Cu Kα), from a cell relaxed with PBE+U.
Neutral-atom scattering factors, no anomalous dispersion.

Most intense lines, 5 to 70 degrees two-theta, low angle first:
d (Å)  2θ (°)  I_rel
4.839  18.33  44
4.337  20.48  64
4.265  20.83  100
3.986  22.30  87
3.921  22.68  53
2.940  30.40  82
2.915  30.67  44
2.732  32.79  27
2.017  44.94  47
1.688  54.36  47

Structure:
a b c (Å): 5.2597 5.2597 7.9161
angles (deg): 96.48 96.48 67.32
Positions (direct):
Li 0.0664 0.7200 0.5555
Li 0.1371 0.4650 0.8520
Li 0.2800 0.9336 0.9445
Li 0.4650 0.1371 0.3520
Li 0.5350 0.8629 0.6480
Li 0.7200 0.0664 0.0555
Li 0.8629 0.5350 0.1480
Li 0.9336 0.2800 0.4445
Cr 0.3287 0.6713 0.2500
Cr 0.6713 0.3287 0.7500
O 0.0904 0.7323 0.0725
O 0.1467 0.4892 0.3406
O 0.2677 0.9096 0.4275
O 0.3713 0.6287 0.7500
O 0.4892 0.1467 0.8406
O 0.5108 0.8533 0.1594
O 0.6287 0.3713 0.2500
O 0.7323 0.0904 0.5725
O 0.8533 0.5108 0.6594
O 0.9096 0.2677 0.9275


No. 2
Computed X-ray powder pattern of Li2CrO3 for λ = 1.5418 Å (Cu Kα), from a cell relaxed with PBE+U.
Neutral-atom scattering factors, no anomalous dispersion.

Most intense lines, 5 to 70 degrees two-theta, low angle first:
d (Å)  2θ (°)  I_rel
4.728  18.77  100
3.637  24.48  74
2.511  35.76  56
1.970  46.08  26
1.893  48.05  21
1.848  49.31  38
1.818  50.17  12
1.550  59.65  20
1.482  62.69  9
1.348  69.78  22

Structure:
a b c (Å): 5.1217 5.1217 2.9638
angles (deg): 90.00 90.00 134.76
Positions (direct):
Li 0.1540 0.8460 0.0000
Li 0.8460 0.1540 0.0000
Cr 0.5000 0.5000 0.5000
O 0.0000 0.0000 0.5000
O 0.3648 0.6352 0.0000
O 0.6352 0.3648 0.0000


No. 3
Computed X-ray powder pattern of Li2Cr4O13 for λ = 1.5418 Å (Cu Kα), from a cell relaxed with PBE+U.
Neutral-atom scattering factors, no anomalous dispersion.

Most intense lines, 5 to 70 degrees two-theta, low angle first:
d (Å)  2θ (°)  I_rel
6.327  14.00  16
5.613  15.79  11
4.487  19.78  9
4.205  21.13  75
4.001  22.22  100
3.945  22.54  76
3.348  26.63  13
3.163  28.21  11
2.808  31.87  33
2.749  32.57  19

Structure:
a b c (Å): 9.8038 9.8038 8.9197
angles (deg): 90.00 90.00 132.54
Positions (direct):
Li 0.0899 0.4000 0.1408
Li 0.4000 0.0899 0.8592
Li 0.6000 0.9101 0.3592
Li 0.9101 0.6000 0.6408
Cr 0.0966 0.4236 0.4887
Cr 0.2235 0.3377 0.7781
Cr 0.3377 0.2235 0.2219
Cr 0.4236 0.0966 0.5113
Cr 0.5764 0.9034 0.0113
Cr 0.6623 0.7765 0.7219
Cr 0.7765 0.6623 0.2781
Cr 0.9034 0.5764 0.9887
O 0.0167 0.4966 0.5865
O 0.0397 0.7019 0.8484
O 0.1065 0.2782 0.6113
O 0.1211 0.3477 0.9129
O 0.1917 0.2435 0.1837
O 0.2435 0.1917 0.8163
O 0.2782 0.1065 0.3887
O 0.2981 0.9603 0.6516
O 0.3018 0.5961 0.4247
O 0.3477 0.1211 0.0871
O 0.4039 0.6982 0.0753
O 0.4426 0.5574 0.7500
O 0.4966 0.0167 0.4135
O 0.5034 0.9833 0.9135
O 0.5574 0.4426 0.2500
O 0.5961 0.3018 0.5753
O 0.6523 0.8789 0.5871
O 0.6982 0.4039 0.9247
O 0.7019 0.0397 0.1516
O 0.7218 0.8935 0.8887
O 0.7565 0.8083 0.3163
O 0.8083 0.7565 0.6837
O 0.8789 0.6523 0.4129
O 0.8935 0.7218 0.1113
O 0.9603 0.2981 0.3484
O 0.9833 0.5034 0.0865


No. 4
Computed X-ray powder pattern of Li3CrO4 for λ = 1.5418 Å (Cu Kα), from a cell relaxed with PBE+U.
Neutral-atom scattering factors, no anomalous dispersion.

Most intense lines, 5 to 70 degrees two-theta, low angle first:
d (Å)  2θ (°)  I_rel
5.667  15.64  35
5.238  16.93  34
4.218  21.06  30
3.782  23.53  24
3.681  24.18  29
3.654  24.36  39
2.992  29.86  12
2.051  44.17  100
1.457  63.88  21
1.444  64.55  16

Structure:
a b c (Å): 5.8054 5.7877 12.6194
angles (deg): 90.00 102.53 90.00
Positions (direct):
Li 0.0000 0.0000 0.0000
Li 0.0000 0.2146 0.5000
Li 0.0000 0.4790 0.0000
Li 0.0000 0.7182 0.5000
Li 0.1542 0.4646 0.3337
Li 0.1651 0.2365 0.8321
Li 0.1722 0.9685 0.3378
Li 0.1759 0.7248 0.8417
Li 0.3349 0.2250 0.1695
Li 0.3379 0.4611 0.6678
Li 0.5000 0.7145 0.5000
Li 0.5000 0.9720 0.0000
Li 0.6621 0.4611 0.3322
Li 0.6651 0.2250 0.8305
Li 0.8241 0.7248 0.1583
Li 0.8278 0.9685 0.6622
Li 0.8349 0.2365 0.1679
Li 0.8458 0.4646 0.6663
Cr 0.3041 0.7249 0.1677
Cr 0.3057 0.9606 0.6685
Cr 0.5000 0.2376 0.5000
Cr 0.5000 0.4477 0.0000
Cr 0.6943 0.9606 0.3315
Cr 0.6959 0.7249 0.8323
O 0.1021 0.9508 0.1612
O 0.1028 0.4918 0.1711
O 0.1027 0.7361 0.6621
O 0.1051 0.1961 0.6713
O 0.2687 0.2442 0.9952
O 0.2702 0.4421 0.4953
O 0.2751 0.9725 0.5131
O 0.2774 0.7127 0.0132
O 0.4255 0.7234 0.3188
O 0.4269 0.9633 0.8194
O 0.4354 0.1906 0.3467
O 0.4348 0.4939 0.8466
O 0.5646 0.1906 0.6533
O 0.5652 0.4939 0.1534
O 0.5731 0.9633 0.1806
O 0.5745 0.7234 0.6812
O 0.7226 0.7127 0.9868
O 0.7249 0.9725 0.4869
O 0.7298 0.4421 0.5047
O 0.7313 0.2442 0.0048
O 0.8949 0.1961 0.3287
O 0.8972 0.4918 0.8289
O 0.8973 0.7361 0.3379
O 0.8979 0.9508 0.8388


No. 5
Computed X-ray powder pattern of LiCrO2 for λ = 1.5418 Å (Cu Kα), from a cell relaxed with PBE+U.
Neutral-atom scattering factors, no anomalous dispersion.

Most intense lines, 5 to 70 degrees two-theta, low angle first:
d (Å)  2θ (°)  I_rel
4.989  17.78  100
2.471  36.35  26
2.452  36.65  13
2.271  39.69  18
2.256  39.96  9
2.024  44.78  36
2.014  45.02  17
1.783  51.23  10
1.572  58.75  15
1.465  63.52  13

Structure:
a b c (Å): 2.9293 2.9293 9.9773
angles (deg): 90.00 90.00 119.45
Positions (direct):
Li 0.1665 0.8335 0.5000
Li 0.8335 0.1665 0.0000
Cr 0.1669 0.8331 0.2403
Cr 0.8331 0.1669 0.7403
O 0.1683 0.8317 0.8514
O 0.4980 0.5020 0.6273
O 0.5020 0.4980 0.1273
O 0.8317 0.1683 0.3514


No. 6
Computed X-ray powder pattern of Li2Cr2O7 for λ = 1.5418 Å (Cu Kα), from a cell relaxed with PBE+U.
Neutral-atom scattering factors, no anomalous dispersion.

Most intense lines, 5 to 70 degrees two-theta, low angle first:
d (Å)  2θ (°)  I_rel
6.551  13.52  25
4.668  19.01  100
4.065  21.86  68
3.655  24.35  25
3.533  25.21  54
3.184  28.02  57
3.012  29.66  19
2.946  30.34  36
2.843  31.47  31
2.833  31.58  20

Structure:
a b c (Å): 6.0790 7.6360 12.9777
angles (deg): 89.74 79.13 89.34
Positions (direct):
Li 0.0827 0.3069 0.1600
Li 0.1939 0.9329 0.3224
Li 0.2295 0.7498 0.5835
Li 0.3858 0.3795 0.8447
Li 0.6142 0.6205 0.1553
Li 0.7705 0.2502 0.4165
Li 0.8061 0.0671 0.6776
Li 0.9173 0.6931 0.8400
Cr 0.1177 0.8520 0.1084
Cr 0.2513 0.4436 0.3840
Cr 0.3017 0.1709 0.5853
Cr 0.4092 0.7751 0.8842
Cr 0.5908 0.2249 0.1158
Cr 0.6983 0.8291 0.4147
Cr 0.7487 0.5564 0.6160
Cr 0.8823 0.1480 0.8916
O 0.0373 0.0281 0.1783
O 0.0552 0.3546 0.3283
O 0.0936 0.2660 0.9098
O 0.1247 0.0062 0.5854
O 0.1640 0.6176 0.4537
O 0.1907 0.3026 0.6777
O 0.2228 0.6334 0.8591
O 0.2731 0.9187 0.9847
O 0.2863 0.7382 0.1687
O 0.3740 0.2874 0.4611
O 0.3897 0.3345 0.0752
O 0.4544 0.5029 0.2917
O 0.4587 0.9018 0.3929
O 0.4865 0.1094 0.2180
O 0.5135 0.8906 0.7820
O 0.5413 0.0982 0.6071
O 0.5456 0.4971 0.7083
O 0.6103 0.6655 0.9248
O 0.6260 0.7126 0.5389
O 0.7137 0.2618 0.8313
O 0.7269 0.0813 0.0153
O 0.7772 0.3666 0.1409
O 0.8093 0.6974 0.3223
O 0.8360 0.3824 0.5463
O 0.8753 0.9938 0.4146
O 0.9064 0.7340 0.0902
O 0.9448 0.6454 0.6717
O 0.9627 0.9719 0.8217